No. 1
Computed powder diffractogram of YB7Mo3 for a wavelength of 1.5418 Å, from a cell relaxed with PBE.

```
YB7Mo3
1.0
11.0428 0.0000 0.0000
0.0000 3.1105 0.0000
0.0000 0.0000 12.9190
Y B Mo
4 28 12
Direct
0.0511 0.2500 0.1918
0.4489 0.7500 0.6918
0.5511 0.2500 0.3082
0.9489 0.7500 0.8082
0.0106 0.7500 0.3628
0.0375 0.7500 0.0180
0.0679 0.7500 0.6161
0.1663 0.7500 0.3332
0.1865 0.7500 0.0666
0.2303 0.7500 0.5819
0.2492 0.7500 0.8265
0.2508 0.2500 0.3265
0.2697 0.2500 0.0819
0.3135 0.2500 0.5666
0.3337 0.2500 0.8332
0.4321 0.2500 0.1161
0.4625 0.2500 0.5180
0.4894 0.2500 0.8628
0.5105 0.7500 0.1372
0.5375 0.7500 0.4820
0.5679 0.7500 0.8839
0.6663 0.7500 0.1668
0.6865 0.7500 0.4334
0.7303 0.7500 0.9181
0.7492 0.7500 0.6735
0.7508 0.2500 0.1735
0.7697 0.2500 0.4181
0.8135 0.2500 0.9334
0.8337 0.2500 0.6668
0.9321 0.2500 0.3839
0.9625 0.2500 0.9820
0.9894 0.2500 0.6372
0.1175 0.2500 0.4730
0.1602 0.2500 0.9361
0.1846 0.2500 0.7021
0.3154 0.7500 0.2021
0.3398 0.7500 0.4361
0.3825 0.7500 0.9730
0.6175 0.2500 0.0270
0.6602 0.2500 0.5639
0.6846 0.2500 0.7979
0.8154 0.7500 0.2979
0.8398 0.7500 0.0639
0.8825 0.7500 0.5270
```

The 10 most intense peaks (15° ≤ 2θ ≤ 90°), sorted by position:
28.8°, d 3.100, I 73; 33.1°, d 2.710, I 100; 33.2°, d 2.700, I 46; 33.8°, d 2.652, I 45; 35.4°, d 2.539, I 21; 41.1°, d 2.196, I 72; 42.8°, d 2.115, I 33; 43.5°, d 2.079, I 47; 47.5°, d 1.914, I 27; 60.1°, d 1.538, I 22

***

No. 2
Computed powder diffractogram of Zr9BMo4 for a wavelength of 1.5418 Å, from a cell relaxed with PBE.

```
Zr9BMo4
1.0
8.6417 0.0000 0.0000
-4.3208 7.4839 0.0000
0.0000 0.0000 8.6128
Zr B Mo
18 2 8
Direct
0.0769 0.5385 0.2500
0.2031 0.4062 0.5561
0.2031 0.4062 0.9439
0.2031 0.7969 0.5561
0.2031 0.7969 0.9439
0.4062 0.2031 0.0561
0.4062 0.2031 0.4439
0.4615 0.5385 0.2500
0.4615 0.9231 0.2500
0.5385 0.0769 0.7500
0.5385 0.4615 0.7500
0.5938 0.7969 0.5561
0.5938 0.7969 0.9439
0.7969 0.2031 0.0561
0.7969 0.2031 0.4439
0.7969 0.5938 0.0561
0.7969 0.5938 0.4439
0.9231 0.4615 0.7500
0.3333 0.6667 0.7500
0.6667 0.3333 0.2500
0.0000 0.0000 0.0000
0.0000 0.0000 0.5000
0.1101 0.2202 0.2500
0.1101 0.8899 0.2500
0.2202 0.1101 0.7500
0.7798 0.8899 0.2500
0.8899 0.1101 0.7500
0.8899 0.7798 0.7500
```

The 10 most intense peaks (15° ≤ 2θ ≤ 90°), sorted by position:
31.7°, d 2.826, I 34; 33.4°, d 2.681, I 29; 36.0°, d 2.495, I 19; 37.5°, d 2.396, I 73; 38.1°, d 2.364, I 100; 39.6°, d 2.278, I 39; 41.8°, d 2.160, I 20; 63.1°, d 1.474, I 27; 65.9°, d 1.417, I 27; 66.1°, d 1.414, I 21

***

Q: What is the formula in the second record?
A: Zr9BMo4